# 1
The following is a simulated PXRD pattern of UNbAs2N. It was derived from a DFT-relaxed cell (GGA-PBE, Alexandria), using Cu Kα (λ = 1.5418 Å).
Neutral-atom scattering factors, no anomalous dispersion.

The 12 most intense peaks (5° ≤ 2θ ≤ 70°), low angle first:
Position (°2θ)	d/Å	I (rel.)
6.92	12.774	55.5
27.96	3.191	69.2
32.13	2.785	54.3
34.44	2.604	100.0
37.27	2.413	80.6
44.91	2.018	27.4
49.49	1.842	43.1
55.77	1.648	17.0
56.27	1.635	13.8
57.81	1.595	24.8
60.25	1.536	19.1
63.55	1.464	44.4

Atomic structure:
```
data_UNbAs2N
_chemical_formula_sum 'U2 Nb2 As4 N2'
_symmetry_space_group_name_H-M 'P 4/n m m'
_symmetry_Int_Tables_number 129
_cell_length_a 3.683
_cell_length_b 3.683
_cell_length_c 12.774
_cell_angle_alpha 90.00
_cell_angle_beta 90.00
_cell_angle_gamma 90.00
loop_
_symmetry_equiv_pos_as_xyz
'x,y,z'
'-x,-y,-z'
'-y+1/2,x,z'
'y+1/2,-x,-z'
'-x+1/2,-y+1/2,z'
'x+1/2,y+1/2,-z'
'y,-x+1/2,z'
'-y,x+1/2,-z'
'x+1/2,-y,-z'
'-x+1/2,y,z'
'-y,-x,-z'
'y,x,z'
'-x,y+1/2,-z'
'x,-y+1/2,z'
'y+1/2,x+1/2,-z'
'-y+1/2,-x+1/2,z'
loop_
_atom_site_label
_atom_site_type_symbol
_atom_site_fract_x
_atom_site_fract_y
_atom_site_fract_z
U1 U 0.250 0.250 0.097
Nb1 Nb 0.250 0.250 0.575
As1 As 0.250 0.250 0.362
As2 As 0.250 0.250 0.789
N1 N 0.250 0.750 0.000
```

---

# 2
The following is a simulated PXRD pattern of Pr2PaAsN5. It was derived from a DFT-relaxed cell (GGA-PBE, Alexandria), using Cu Kα (λ = 1.5418 Å).
Neutral-atom scattering factors, no anomalous dispersion.

The 12 most intense peaks (5° ≤ 2θ ≤ 70°), low angle first:
Position (°2θ)	d/Å	I (rel.)
20.85	4.261	26.3
25.55	3.486	19.5
25.80	3.453	22.7
28.30	3.154	68.8
29.79	2.999	23.5
30.93	2.891	51.6
32.12	2.787	46.6
36.40	2.468	100.0
37.89	2.374	39.6
43.48	2.081	37.8
50.86	1.795	24.0
59.23	1.560	18.0

Atomic structure:
```
data_Pr2PaAsN5
_chemical_formula_sum 'Pr8 Pa4 As4 N20'
_symmetry_space_group_name_H-M 'C m c 21'
_symmetry_Int_Tables_number 36
_cell_length_a 3.590
_cell_length_b 14.626
_cell_length_c 10.486
_cell_angle_alpha 90.00
_cell_angle_beta 90.00
_cell_angle_gamma 90.00
loop_
_symmetry_equiv_pos_as_xyz
'x,y,z'
'-x,-y,z+1/2'
'-x,y,z'
'x,-y,z+1/2'
'x+1/2,y+1/2,z'
'-x+1/2,-y+1/2,z+1/2'
'-x+1/2,y+1/2,z'
'x+1/2,-y+1/2,z+1/2'
loop_
_atom_site_label
_atom_site_type_symbol
_atom_site_fract_x
_atom_site_fract_y
_atom_site_fract_z
Pr1 Pr 0.000 0.110 0.000
Pr2 Pr 0.000 0.129 0.649
Pa1 Pa 0.000 0.201 0.346
As1 As 0.000 0.458 0.757
N1 N 0.000 0.033 0.335
N2 N 0.000 0.291 0.981
N3 N 0.000 0.327 0.702
N4 N 0.000 0.346 0.328
N5 N 0.000 0.493 0.098
```

---

# 3
The following is a simulated PXRD pattern of Sr4Bi6O19. It was derived from a DFT-relaxed cell (GGA-PBE, Alexandria), using Cu Kα (λ = 1.5418 Å).
Neutral-atom scattering factors, no anomalous dispersion.

The 12 most intense peaks (5° ≤ 2θ ≤ 70°), low angle first:
Position (°2θ)	d/Å	I (rel.)
12.68	6.982	42.1
17.97	4.937	37.1
22.05	4.031	21.2
28.59	3.122	100.0
31.38	2.850	13.7
33.97	2.639	77.7
44.98	2.015	18.7
46.92	1.936	52.9
55.87	1.646	28.3
57.54	1.602	21.1
63.95	1.456	19.1
67.02	1.396	14.1

Atomic structure:
```
data_Sr4Bi6O19
_chemical_formula_sum 'Sr8 Bi12 O38'
_symmetry_space_group_name_H-M 'I 2 3'
_symmetry_Int_Tables_number 197
_symmetry_space_group_name_Hall 'I 2 2 3'
_cell_length_a 9.874
_cell_length_b 9.874
_cell_length_c 9.874
_cell_angle_alpha 90.00
_cell_angle_beta 90.00
_cell_angle_gamma 90.00
loop_
_atom_site_label
_atom_site_type_symbol
_atom_site_fract_x
_atom_site_fract_y
_atom_site_fract_z
Sr1 Sr 0.142 0.142 0.858
Bi1 Bi 0.000 0.334 0.500
O1 O 0.000 0.000 0.000
O2 O 0.000 0.000 0.356
O3 O 0.004 0.320 0.283
```

---

# 4
The following is a simulated PXRD pattern of HoErTm2Sc4. It was derived from a DFT-relaxed cell (GGA-PBE, Alexandria), using Cu Kα (λ = 1.5418 Å).
Neutral-atom scattering factors, no anomalous dispersion.

The 12 most intense peaks (5° ≤ 2θ ≤ 70°), low angle first:
Position (°2θ)	d/Å	I (rel.)
21.23	4.185	58.7
28.29	3.155	45.9
31.02	2.883	23.4
31.95	2.801	100.0
43.19	2.095	86.4
45.18	2.007	17.4
46.11	1.969	8.2
57.00	1.616	12.5
64.67	1.441	8.5
64.83	1.438	16.9
66.72	1.402	7.7
68.23	1.375	21.7

Atomic structure:
```
data_HoErTm2Sc4
_chemical_formula_sum 'Ho4 Er4 Tm8 Sc16'
_symmetry_space_group_name_H-M 'I m m a'
_symmetry_Int_Tables_number 74
_symmetry_space_group_name_Hall '-I 2b 2'
_cell_length_a 6.482
_cell_length_b 11.183
_cell_length_c 12.620
_cell_angle_alpha 90.00
_cell_angle_beta 90.00
_cell_angle_gamma 90.00
loop_
_atom_site_label
_atom_site_type_symbol
_atom_site_fract_x
_atom_site_fract_y
_atom_site_fract_z
Ho1 Ho 0.250 0.250 0.250
Er1 Er 0.000 0.000 0.000
Tm1 Tm 0.000 0.000 0.500
Tm2 Tm 0.250 0.250 0.750
Sc1 Sc 0.000 0.001 0.749
Sc2 Sc 0.250 0.250 0.501
```